For TmP2RuRh5, a GGA-PBE-relaxed structure gives the simulated XRD peak list in this record (a wavelength of 1.5418 Å).
No peak broadening, texture or thermal motion is included.

Unit cell a=3.909 b=3.909 c=10.527 alpha=90.00 beta=90.00 gamma=90.00
Space group P4/mmm (No. 123)
Unique sites:
Tm1 0.000 0.000 0.000
P1 0.500 0.500 0.215
Ru1 0.500 0.500 0.500
Rh1 0.000 0.500 0.337
Rh2 0.500 0.500 0.000

Largest 6 diffraction maxima, by angle, 10 to 90 degrees two-theta:
2θ/deg, Rel. int., h k l
25.38, 76, 0 0 3
33.52, 78, 1 1 1
36.73, 100, 1 1 2
46.46, 70, 2 0 0
47.72, 76, 1 1 4
53.68, 38, 2 0 3